This entry pairs a crystal structure of Th2GaCo6Si with its simulated powder diffraction line list. Radiation: a wavelength of 1.5418 Å. Structure: a PBE-relaxed structure.

```
Th2GaCo6Si
1.0
0.000 4.333 4.333
4.333 0.000 4.333
4.333 4.333 0.000
Th Ga Co Si
2 1 6 1
direct
0.250 0.250 0.250 Th
0.750 0.750 0.750 Th
0.000 0.000 0.000 Ga
0.256 0.256 0.744 Co
0.256 0.744 0.256 Co
0.256 0.744 0.744 Co
0.744 0.256 0.256 Co
0.744 0.256 0.744 Co
0.744 0.744 0.256 Co
0.500 0.500 0.500 Si
```

Largest 12 diffraction maxima, in order of rising 2θ, 2θ from 10° to 90°:
2θ 20.50, rel. 26; 2θ 29.15, rel. 90; 2θ 35.90, rel. 100; 2θ 41.69, rel. 81; 2θ 46.88, rel. 14; 2θ 51.67, rel. 38; 2θ 60.43, rel. 53; 2θ 64.52, rel. 8; 2θ 68.47, rel. 17; 2θ 72.32, rel. 37; 2θ 76.09, rel. 18; 2θ 83.47, rel. 21


This entry pairs a crystal structure of Ti4GaCo2Si with its simulated powder diffraction line list. Radiation: a wavelength of 1.5418 Å. Structure: a PBE-relaxed structure.

```
Ti4GaCo2Si
1.0
2.146 1.239 6.999
-2.146 1.239 6.999
0.000 -2.478 6.999
Ti Ga Co Si
4 1 2 1
direct
0.000 0.000 0.000 Ti
0.124 0.124 0.124 Ti
0.498 0.498 0.498 Ti
0.625 0.625 0.625 Ti
0.875 0.875 0.875 Ga
0.253 0.253 0.253 Co
0.747 0.747 0.747 Co
0.374 0.374 0.374 Si
```

Largest 12 diffraction maxima, in order of rising 2θ, 2θ from 10° to 90°:
2θ 12.65, rel. 2; 2θ 24.32, rel. 2; 2θ 25.43, rel. 1; 2θ 32.16, rel. 2; 2θ 38.57, rel. 1; 2θ 42.13, rel. 100; 2θ 44.14, rel. 1; 2θ 49.85, rel. 1; 2θ 58.42, rel. 1; 2θ 61.10, rel. 15; 2θ 76.97, rel. 22; 2θ 77.07, rel. 7


This entry pairs a crystal structure of Ti8GaCo4Si3 with its simulated powder diffraction line list. Radiation: a wavelength of 1.5418 Å. Structure: a PBE-relaxed structure.

```
Ti8GaCo4Si3
1.0
2.138 1.234 13.939
-2.138 1.234 13.939
0.000 -2.468 13.939
Ti Ga Co Si
8 1 4 3
direct
0.000 0.000 0.000 Ti
0.062 0.062 0.062 Ti
0.249 0.249 0.249 Ti
0.312 0.312 0.312 Ti
0.499 0.499 0.499 Ti
0.561 0.561 0.561 Ti
0.749 0.749 0.749 Ti
0.811 0.811 0.811 Ti
0.937 0.937 0.937 Ga
0.124 0.124 0.124 Co
0.375 0.375 0.375 Co
0.626 0.626 0.626 Co
0.872 0.872 0.872 Co
0.186 0.186 0.186 Si
0.436 0.436 0.436 Si
0.687 0.687 0.687 Si
```

Largest 12 diffraction maxima, in order of rising 2θ, 2θ from 10° to 90°:
2θ 12.70, rel. 1; 2θ 24.13, rel. 1; 2θ 24.42, rel. 1; 2θ 25.53, rel. 2; 2θ 28.36, rel. 1; 2θ 29.57, rel. 2; 2θ 37.02, rel. 1; 2θ 42.31, rel. 100; 2θ 50.06, rel. 1; 2θ 61.37, rel. 15; 2θ 77.34, rel. 22; 2θ 77.46, rel. 7


This entry pairs a crystal structure of YGa2Co2Si with its simulated powder diffraction line list. Radiation: a wavelength of 1.5418 Å. Structure: a PBE-relaxed structure.

```
YGa2Co2Si
1.0
4.240 0.000 0.000
0.000 4.240 0.000
0.000 0.000 5.517
Y Ga Co Si
1 2 2 1
direct
0.000 0.000 0.000 Y
0.500 0.500 0.238 Ga
0.500 0.500 0.762 Ga
0.000 0.500 0.500 Co
0.500 0.000 0.500 Co
0.000 0.000 0.500 Si
```

Largest 12 diffraction maxima, in order of rising 2θ, 2θ from 10° to 90°:
2θ 16.06, rel. 10; 2θ 26.51, rel. 10; 2θ 29.80, rel. 30; 2θ 34.03, rel. 81; 2θ 38.95, rel. 100; 2θ 42.65, rel. 83; 2θ 44.64, rel. 22; 2θ 59.12, rel. 57; 2θ 61.90, rel. 26; 2θ 72.56, rel. 16; 2θ 75.60, rel. 13; 2θ 83.64, rel. 21